1.
This entry pairs a crystal structure of CrP4O12 with its theoretical powder X-ray diffraction pattern. Radiation: Cu Ka. Structure: a structure optimized by DFT (GGA+U).
Neutral-atom scattering factors, no anomalous dispersion.

Crystal structure
a = 8.341 Å, b = 8.341 Å, c = 7.698 Å
α = 97.99°, β = 97.99°, γ = 108.74°
Element x y z (fractional)
Cr: 0.132 0.868 0.750
Cr: 0.868 0.132 0.250
P: 0.042 0.205 0.670
P: 0.205 0.042 0.170
P: 0.250 0.575 0.879
P: 0.425 0.750 0.621
P: 0.575 0.250 0.379
P: 0.750 0.425 0.121
P: 0.795 0.958 0.830
P: 0.958 0.795 0.330
O: 0.005 0.746 0.508
O: 0.081 0.141 0.168
O: 0.113 0.655 0.816
O: 0.129 0.871 0.250
O: 0.141 0.081 0.668
O: 0.149 0.369 0.815
O: 0.254 0.995 0.992
O: 0.330 0.615 0.069
O: 0.345 0.887 0.684
O: 0.369 0.149 0.315
O: 0.385 0.670 0.431
O: 0.389 0.611 0.750
O: 0.611 0.389 0.250
O: 0.615 0.330 0.569
O: 0.631 0.851 0.685
O: 0.655 0.113 0.316
O: 0.670 0.385 0.931
O: 0.746 0.005 0.008
O: 0.851 0.631 0.185
O: 0.859 0.919 0.332
O: 0.871 0.129 0.750
O: 0.887 0.345 0.184
O: 0.919 0.859 0.832
O: 0.995 0.254 0.492

Largest 8 diffraction maxima, in order of rising 2θ, 2θ from 10° to 80°:
2θ 11.42, rel. 93
2θ 14.77, rel. 29
2θ 17.66, rel. 30
2θ 18.03, rel. 49
2θ 18.80, rel. 49
2θ 23.74, rel. 100
2θ 26.29, rel. 49
2θ 33.96, rel. 25

2.
This entry pairs a crystal structure of CrP2O7 with its theoretical powder X-ray diffraction pattern. Radiation: Cu Ka. Structure: a structure optimized by DFT (GGA+U).
Neutral-atom scattering factors, no anomalous dispersion.

Crystal structure
a = 5.154 Å, b = 5.154 Å, c = 4.549 Å
α = 98.18°, β = 98.18°, γ = 100.13°
Element x y z (fractional)
Cr: 0.000 0.000 0.000
P: 0.148 0.446 0.590
P: 0.554 0.852 0.410
O: 0.025 0.668 0.737
O: 0.224 0.255 0.803
O: 0.332 0.975 0.263
O: 0.427 0.573 0.500
O: 0.704 0.034 0.705
O: 0.745 0.776 0.197
O: 0.966 0.296 0.295

Largest 8 diffraction maxima, in order of rising 2θ, 2θ from 10° to 80°:
2θ 17.75, rel. 80
2θ 22.50, rel. 68
2θ 24.44, rel. 33
2θ 29.12, rel. 100
2θ 30.29, rel. 73
2θ 30.44, rel. 78
2θ 43.84, rel. 25
2θ 44.05, rel. 25

3.
This entry pairs a crystal structure of CrPO5 with its theoretical powder X-ray diffraction pattern. Radiation: Cu Ka. Structure: a structure optimized by DFT (GGA+U).
Neutral-atom scattering factors, no anomalous dispersion.

Crystal structure
a = 8.129 Å, b = 6.091 Å, c = 7.157 Å
α = 90.00°, β = 90.00°, γ = 90.00°
Element x y z (fractional)
Cr: 0.186 0.250 0.208
Cr: 0.314 0.750 0.708
Cr: 0.686 0.250 0.292
Cr: 0.814 0.750 0.792
P: 0.122 0.750 0.104
P: 0.378 0.250 0.604
P: 0.622 0.750 0.396
P: 0.878 0.250 0.896
O: 0.045 0.250 0.997
O: 0.135 0.550 0.239
O: 0.135 0.950 0.239
O: 0.136 0.750 0.623
O: 0.232 0.250 0.466
O: 0.268 0.750 0.966
O: 0.364 0.250 0.123
O: 0.365 0.050 0.739
O: 0.365 0.450 0.739
O: 0.455 0.750 0.497
O: 0.545 0.250 0.503
O: 0.635 0.550 0.261
O: 0.635 0.950 0.261
O: 0.636 0.750 0.877
O: 0.732 0.250 0.034
O: 0.768 0.750 0.534
O: 0.864 0.250 0.377
O: 0.865 0.050 0.761
O: 0.865 0.450 0.761
O: 0.955 0.750 0.003

Largest 8 diffraction maxima, in order of rising 2θ, 2θ from 10° to 80°:
2θ 16.50, rel. 47
2θ 19.13, rel. 42
2θ 21.87, rel. 23
2θ 25.20, rel. 100
2θ 27.23, rel. 39
2θ 29.21, rel. 35
2θ 29.33, rel. 62
2θ 46.48, rel. 23

4.
This entry pairs a crystal structure of CrP2O7 with its theoretical powder X-ray diffraction pattern. Radiation: Cu Ka. Structure: a structure optimized by DFT (GGA+U).
Neutral-atom scattering factors, no anomalous dispersion.

Crystal structure
a = 7.235 Å, b = 8.047 Å, c = 9.359 Å
α = 90.00°, β = 110.69°, γ = 90.00°
Element x y z (fractional)
Cr: 0.227 0.008 0.253
Cr: 0.227 0.492 0.753
Cr: 0.773 0.508 0.247
Cr: 0.773 0.992 0.747
P: 0.175 0.702 0.449
P: 0.175 0.798 0.949
P: 0.427 0.239 0.556
P: 0.427 0.261 0.056
P: 0.573 0.739 0.944
P: 0.573 0.761 0.444
P: 0.825 0.202 0.051
P: 0.825 0.298 0.551
O: 0.037 0.581 0.333
O: 0.037 0.919 0.833
O: 0.140 0.617 0.899
O: 0.140 0.883 0.399
O: 0.174 0.679 0.611
O: 0.174 0.821 0.111
O: 0.300 0.146 0.108
O: 0.300 0.354 0.608
O: 0.309 0.189 0.390
O: 0.309 0.311 0.890
O: 0.390 0.650 0.449
O: 0.390 0.850 0.949
O: 0.491 0.586 0.843
O: 0.491 0.914 0.343
O: 0.509 0.086 0.657
O: 0.509 0.414 0.157
O: 0.610 0.150 0.051
O: 0.610 0.350 0.551
O: 0.691 0.689 0.110
O: 0.691 0.811 0.610
O: 0.700 0.646 0.392
O: 0.700 0.854 0.892
O: 0.826 0.179 0.889
O: 0.826 0.321 0.389
O: 0.860 0.117 0.601
O: 0.860 0.383 0.101
O: 0.963 0.081 0.167
O: 0.963 0.419 0.667

Largest 8 diffraction maxima, in order of rising 2θ, 2θ from 10° to 80°:
2θ 17.38, rel. 100
2θ 19.89, rel. 14
2θ 22.17, rel. 33
2θ 23.13, rel. 27
2θ 28.62, rel. 31
2θ 29.25, rel. 17
2θ 30.16, rel. 61
2θ 30.83, rel. 17

5.
This entry pairs a crystal structure of Cr2P5O15 with its theoretical powder X-ray diffraction pattern. Radiation: Cu Ka. Structure: a structure optimized by DFT (GGA+U).
Neutral-atom scattering factors, no anomalous dispersion.

Crystal structure
a = 5.384 Å, b = 8.625 Å, c = 13.529 Å
α = 90.00°, β = 109.28°, γ = 90.00°
Element x y z (fractional)
Cr: 0.102 0.217 0.451
Cr: 0.102 0.783 0.951
Cr: 0.898 0.217 0.049
Cr: 0.898 0.783 0.549
P: 0.000 0.446 0.250
P: 0.000 0.554 0.750
P: 0.301 0.323 0.913
P: 0.301 0.677 0.413
P: 0.463 0.013 0.860
P: 0.463 0.987 0.360
P: 0.537 0.013 0.640
P: 0.537 0.987 0.140
P: 0.699 0.323 0.587
P: 0.699 0.677 0.087
O: 0.092 0.359 0.172
O: 0.092 0.641 0.672
O: 0.097 0.326 0.965
O: 0.097 0.674 0.465
O: 0.234 0.436 0.813
O: 0.234 0.564 0.313
O: 0.267 0.033 0.557
O: 0.267 0.967 0.057
O: 0.271 0.158 0.855
O: 0.271 0.842 0.355
O: 0.304 0.130 0.361
O: 0.304 0.870 0.861
O: 0.416 0.353 0.527
O: 0.416 0.647 0.027
O: 0.500 0.027 0.750
O: 0.500 0.973 0.250
O: 0.584 0.353 0.973
O: 0.584 0.647 0.473
O: 0.696 0.130 0.139
O: 0.696 0.870 0.639
O: 0.729 0.158 0.645
O: 0.729 0.842 0.145
O: 0.733 0.033 0.943
O: 0.733 0.967 0.443
O: 0.766 0.436 0.687
O: 0.766 0.564 0.187
O: 0.903 0.326 0.535
O: 0.903 0.674 0.035
O: 0.908 0.359 0.328
O: 0.908 0.641 0.828

Largest 8 diffraction maxima, in order of rising 2θ, 2θ from 10° to 80°:
2θ 13.87, rel. 59
2θ 18.38, rel. 63
2θ 20.28, rel. 83
2θ 24.68, rel. 80
2θ 24.92, rel. 100
2θ 25.76, rel. 67
2θ 27.12, rel. 52
2θ 29.47, rel. 75